# 1
Diffraction record for Tm4Zn3Cu. The PXRD pattern is computed, not measured: it uses a DFT-relaxed cell (GGA-PBE, Alexandria) and copper Kα.
Peak positions follow from Bragg's law for the DFT cell and can differ from measured ones.

Atomic structure:
a = 3.649 Å, b = 4.442 Å, c = 10.885 Å
α = 90.00°, β = 90.00°, γ = 90.00°
Space group Pmm2 (No. 25)
Asymmetric unit:
Tm (0.000, 0.000, 0.000) x1
Tm (0.000, 0.500, 0.288) x1
Tm (0.500, 0.000, 0.485) x1
Tm (0.500, 0.500, 0.796) x1
Zn (0.000, 0.000, 0.714) x1
Zn (0.000, 0.500, 0.570) x1
Zn (0.500, 0.500, 0.072) x1
Cu (0.500, 0.000, 0.213) x1

The 12 most intense peaks (2θ from 10° to 80°), sorted by position:
(hkl)  2theta  d [Å]  intensity
0 1 2  25.9  3.441  352
1 1 1  32.8  2.729  1000
0 0 4  32.9  2.721  202
1 0 3  34.9  2.573  466
0 1 4  38.8  2.320  317
1 1 3  40.5  2.226  297
0 2 0  40.6  2.221  287
2 0 0  50.0  1.824  157
0 2 4  53.2  1.722  219
1 2 3  54.6  1.681  329
1 0 7  65.2  1.430  161
1 2 7  79.7  1.203  139

# 2
Diffraction record for Ag2Sb2Mo. The PXRD pattern is computed, not measured: it uses a DFT-relaxed cell (GGA-PBE, Alexandria) and copper Kα.
Peak positions follow from Bragg's law for the DFT cell and can differ from measured ones.

Atomic structure:
a = 7.549 Å, b = 7.549 Å, c = 3.740 Å
α = 90.00°, β = 90.00°, γ = 90.00°
Space group P4/mbm (No. 127)
Asymmetric unit:
Ag (0.127, 0.373, 0.000) x4
Sb (0.180, 0.680, 0.500) x4
Mo (0.000, 0.000, 0.000) x2

The 12 most intense peaks (2θ from 10° to 80°), sorted by position:
(hkl)  2theta  d [Å]  intensity
2 2 0  33.6  2.669  106
2 0 1  33.7  2.657  331
2 1 1  35.8  2.506  1000
3 1 0  37.7  2.387  391
3 2 0  43.2  2.094  107
0 0 2  48.7  1.870  150
4 1 0  49.8  1.831  76
4 1 1  55.9  1.644  123
3 1 2  63.2  1.472  163
5 1 1  68.1  1.377  108
5 2 1  71.9  1.313  86
6 0 0  75.6  1.257  74

# 3
Diffraction record for Li5Bi2. The PXRD pattern is computed, not measured: it uses a DFT-relaxed cell (GGA-PBE, Alexandria) and copper Kα.
Peak positions follow from Bragg's law for the DFT cell and can differ from measured ones.

Atomic structure:
a = 4.719 Å, b = 4.749 Å, c = 8.168 Å
α = 73.39°, β = 73.50°, γ = 60.32°
Space group P-1 (No. 2)
Asymmetric unit:
Li (0.000, 0.000, 0.000) x1
Li (0.125, 0.134, 0.614) x2
Li (0.381, 0.383, 0.857) x2
Bi (0.256, 0.251, 0.237) x2

The 12 most intense peaks (2θ from 10° to 80°), sorted by position:
(hkl)  2theta  d [Å]  intensity
0 1 1  22.9  3.884  338
1 1 0  23.0  3.860  1000
0 1 -1  26.6  3.356  449
1 1 2  26.7  3.333  220
1 2 1  37.9  2.376  223
1 1 -2  38.0  2.367  211
2 1 1  38.1  2.359  214
1 2 -1  44.8  2.024  180
2 0 0  44.9  2.018  290
2 2 2  45.1  2.012  114
2 2 0  47.1  1.931  100
3 1 2  60.4  1.531  97

# 4
Diffraction record for La12PrDy6. The PXRD pattern is computed, not measured: it uses a DFT-relaxed cell (GGA-PBE, Alexandria) and copper Kα.
Peak positions follow from Bragg's law for the DFT cell and can differ from measured ones.

Atomic structure:
a = 16.0292 Å, b = 16.0292 Å, c = 9.0035 Å
α = 90.00°, β = 90.00°, γ = 120.00°
Space group R-3 (No. 148, hexagonal axes)
Asymmetric unit:
La (0.0168, 0.8759, 0.1650) x18
La (0.0680, 0.5063, 0.1668) x18
Pr (0.0000, 0.0000, 0.5000) x3
Dy (0.0353, 0.7528, 0.8318) x18

The 6 most intense peaks (2θ from 10° to 80°), sorted by position:
(hkl)  2theta  d [Å]  intensity
0 0 3  29.8  3.002  1000
2 3 2  34.5  2.600  507
7 1 0  49.6  1.838  363
7 1 3  58.9  1.568  432
0 0 6  61.8  1.501  124
4 6 4  72.7  1.300  57

# 5
Diffraction record for Cu7Ni2. The PXRD pattern is computed, not measured: it uses a DFT-relaxed cell (GGA-PBE, Alexandria) and copper Kα.
Peak positions follow from Bragg's law for the DFT cell and can differ from measured ones.

Atomic structure:
a = 4.4009 Å, b = 4.4009 Å, c = 6.2362 Å
α = 90.00°, β = 90.00°, γ = 120.00°
Space group P-31m (No. 162)
Asymmetric unit:
Cu (0.0000, 0.0000, 0.0000) x1
Cu (0.0000, 0.3346, 0.6688) x6
Ni (0.3333, 0.6667, 0.0000) x2

The 4 most intense peaks (2θ from 10° to 80°), sorted by position:
(hkl)  2theta  d [Å]  intensity
1 1 1  43.6  2.076  1000
2 -1 2  50.8  1.798  466
1 1 4  74.6  1.272  134
3 0 0  74.7  1.270  133

# 6
Diffraction record for Ti2GaH2. The PXRD pattern is computed, not measured: it uses a DFT-relaxed cell (GGA-PBE, Alexandria) and copper Kα.
Peak positions follow from Bragg's law for the DFT cell and can differ from measured ones.

Atomic structure:
a = 5.091 Å, b = 8.501 Å, c = 5.540 Å
α = 90.00°, β = 117.30°, γ = 90.00°
Space group C2/c (No. 15)
Asymmetric unit:
Ti (0.000, 0.044, 0.250) x4
Ti (0.000, 0.292, 0.750) x4
Ga (0.000, 0.375, 0.250) x4
H (0.126, 0.124, 0.000) x8

The 12 most intense peaks (2θ from 10° to 80°), sorted by position:
(hkl)  2theta  d [Å]  intensity
1 1 0  22.3  3.992  71
0 0 2  36.5  2.461  533
1 3 -1  37.5  2.401  1000
2 0 0  39.9  2.261  852
1 3 1  45.9  1.977  564
1 3 -3  60.0  1.541  238
3 3 -1  64.7  1.440  182
2 0 2  68.0  1.379  157
0 6 1  69.0  1.361  150
3 3 -3  70.8  1.331  140
2 6 -1  77.0  1.238  108
1 3 3  78.2  1.223  102

# 7
Diffraction record for Sr3Cu9Rh2. The PXRD pattern is computed, not measured: it uses a DFT-relaxed cell (GGA-PBE, Alexandria) and copper Kα.
Peak positions follow from Bragg's law for the DFT cell and can differ from measured ones.

Atomic structure:
a = 4.217 Å, b = 9.946 Å, c = 12.543 Å
α = 90.00°, β = 90.00°, γ = 90.00°
Space group Immm (No. 71)
Asymmetric unit:
Sr (0.000, 0.000, 0.000) x2
Sr (0.000, 0.000, 0.308) x4
Cu (0.000, 0.279, 0.109) x8
Cu (0.000, 0.299, 0.306) x8
Cu (0.000, 0.500, 0.000) x2
Rh (0.000, 0.205, 0.500) x4

The 12 most intense peaks (2θ from 10° to 80°), sorted by position:
(hkl)  2theta  d [Å]  intensity
0 1 1  11.4  7.793  514
0 2 0  17.8  4.973  808
1 3 0  34.4  2.606  466
0 3 3  34.5  2.598  594
1 2 3  35.2  2.549  926
0 4 0  36.1  2.486  651
1 3 2  37.4  2.407  759
1 0 5  41.9  2.156  945
2 0 0  42.9  2.109  969
1 2 5  45.9  1.978  1000
2 3 3  56.2  1.637  284
2 4 0  57.3  1.608  325

# 8
Diffraction record for SmMg8Ir4. The PXRD pattern is computed, not measured: it uses a DFT-relaxed cell (GGA-PBE, Alexandria) and copper Kα.
Peak positions follow from Bragg's law for the DFT cell and can differ from measured ones.

Atomic structure:
a = 9.192 Å, b = 9.192 Å, c = 5.734 Å
α = 90.00°, β = 90.00°, γ = 90.00°
Space group I4/mmm (No. 139)
Asymmetric unit:
Sm (0.000, 0.000, 0.000) x2
Mg (0.000, 0.223, 0.500) x8
Mg (0.000, 0.331, 0.000) x8
Ir (0.250, 0.250, 0.250) x8

The 12 most intense peaks (2θ from 10° to 80°), sorted by position:
(hkl)  2theta  d [Å]  intensity
2 0 0  19.3  4.596  960
2 2 0  27.4  3.250  705
2 0 2  37.0  2.433  1000
4 0 0  39.2  2.298  513
2 2 2  42.0  2.150  461
4 2 0  44.1  2.055  312
4 2 2  55.0  1.670  534
4 4 0  56.6  1.625  149
6 2 0  64.1  1.453  172
6 0 2  69.6  1.351  193
6 2 2  73.0  1.296  139
4 0 4  78.7  1.216  136

# 9
Diffraction record for YZn12Ir4. The PXRD pattern is computed, not measured: it uses a DFT-relaxed cell (GGA-PBE, Alexandria) and copper Kα.
Peak positions follow from Bragg's law for the DFT cell and can differ from measured ones.

Atomic structure:
a = 8.679 Å, b = 8.679 Å, c = 8.679 Å
α = 90.00°, β = 90.00°, γ = 90.00°
Space group Im-3 (No. 204)
Asymmetric unit:
Y (0.000, 0.000, 0.000) x2
Zn (0.000, 0.350, 0.159) x24
Ir (0.250, 0.250, 0.250) x8

The 12 most intense peaks (2θ from 10° to 80°), sorted by position:
(hkl)  2theta  d [Å]  intensity
2 0 0  20.5  4.339  877
2 2 0  29.1  3.068  1000
3 0 1  32.6  2.744  850
2 2 2  35.8  2.505  261
3 1 2  38.8  2.319  337
4 0 0  41.6  2.170  216
4 0 2  46.8  1.941  986
4 2 2  51.6  1.772  973
4 3 1  53.9  1.702  269
6 2 0  68.4  1.372  321
6 2 2  72.2  1.308  220
6 0 4  79.7  1.204  169

# 10
Diffraction record for SrCe2Ga4. The PXRD pattern is computed, not measured: it uses a DFT-relaxed cell (GGA-PBE, Alexandria) and copper Kα.
Peak positions follow from Bragg's law for the DFT cell and can differ from measured ones.

Atomic structure:
a = 4.240 Å, b = 4.468 Å, c = 18.864 Å
α = 90.00°, β = 90.00°, γ = 90.00°
Space group Immm (No. 71)
Asymmetric unit:
Sr (0.000, 0.000, 0.000) x2
Ce (0.000, 0.500, 0.312) x4
Ga (0.000, 0.000, 0.432) x4
Ga (0.000, 0.500, 0.146) x4

The 12 most intense peaks (2θ from 10° to 80°), sorted by position:
(hkl)  2theta  d [Å]  intensity
1 0 3  25.3  3.516  125
0 0 6  28.4  3.144  117
1 1 2  30.6  2.924  1000
0 1 5  31.0  2.883  533
1 1 4  34.8  2.576  144
1 0 7  39.6  2.274  337
0 2 0  40.4  2.234  287
1 1 6  41.1  2.199  276
2 0 0  42.6  2.120  245
2 1 5  53.7  1.708  224
1 2 7  57.9  1.594  217
2 2 0  60.2  1.538  174

# 11
Diffraction record for Pm2Mg3Hg3. The PXRD pattern is computed, not measured: it uses a DFT-relaxed cell (GGA-PBE, Alexandria) and copper Kα.
Peak positions follow from Bragg's law for the DFT cell and can differ from measured ones.

Atomic structure:
a = 5.1576 Å, b = 5.1576 Å, c = 25.3663 Å
α = 90.00°, β = 90.00°, γ = 120.00°
Space group R3m (No. 160, hexagonal axes)
Asymmetric unit:
Pm (0.0000, 0.0000, 0.0000) x3
Pm (0.0000, 0.0000, 0.4917) x3
Mg (0.0000, 0.0000, 0.2436) x3
Mg (0.0000, 0.0000, 0.6190) x3
Mg (0.0000, 0.0000, 0.7462) x3
Hg (0.0000, 0.0000, 0.1222) x3
Hg (0.0000, 0.0000, 0.3648) x3
Hg (0.0000, 0.0000, 0.8769) x3

The 12 most intense peaks (2θ from 10° to 80°), sorted by position:
(hkl)  2theta  d [Å]  intensity
0 0 3  10.5  8.455  59
1 0 1  20.2  4.399  77
0 0 6  21.1  4.217  219
1 0 4  24.4  3.652  99
0 1 5  26.6  3.352  52
1 1 0  34.7  2.582  1000
1 1 6  41.0  2.203  85
1 1 9  47.8  1.903  61
2 0 8  49.9  1.826  176
1 0 16  62.1  1.494  78
3 0 0  62.3  1.490  277
2 2 0  73.4  1.289  59